Structure and computed powder X-ray diffraction pattern of Ca2BiCl8 (a structure optimized by DFT (PBE); Cu Kα (λ = 1.5418 Å)).
Intensities are scaled so that the largest is 100.

Top 6 peaks for 2θ = 10–80°, sorted by position:
| 2θ (°) | I (rel.) |
| --- | --- |
| 13.72 | 81 |
| 16.67 | 100 |
| 22.08 | 52 |
| 31.85 | 64 |
| 33.60 | 40 |
| 33.70 | 72 |

Unit cell a=7.5091 b=7.5091 c=6.0843 alpha=106.10 beta=106.10 gamma=109.58
Element x y z (fractional)
1 Ca 0.1846 0.8154 0.0000
2 Ca 0.8154 0.1846 0.0000
3 Bi 0.5000 0.5000 0.5000
4 Cl 0.1451 0.1451 0.3541
5 Cl 0.1880 0.4334 0.9987
6 Cl 0.2680 0.7320 0.5000
7 Cl 0.4334 0.1880 0.9987
8 Cl 0.5666 0.8120 0.0013
9 Cl 0.7320 0.2680 0.5000
10 Cl 0.8120 0.5666 0.0013
11 Cl 0.8549 0.8549 0.6459